[1]
Computed powder diffractogram
Compound: Nb3VO8
Radiation: Cu Ka
Structure: a crystal structure in Alexandria, relaxed with PBE+U

Structure:
a = 6.635 Å, b = 6.635 Å, c = 6.857 Å
α = 105.95°, β = 105.95°, γ = 35.40°
Fractional positions:
Nb  0.000  0.000  0.000
Nb  0.101  0.101  0.586
Nb  0.791  0.791  0.562
V  0.694  0.694  0.982
O  0.040  0.040  0.298
O  0.149  0.149  0.918
O  0.272  0.272  0.604
O  0.526  0.526  0.996
O  0.632  0.632  0.632
O  0.756  0.756  0.288
O  0.845  0.845  0.917
O  0.955  0.955  0.642

Largest 10 diffraction maxima, by intensity, 5° ≤ 2θ ≤ 70°:
2theta	Rel. int.
23.24	100.0
27.16	58.7
13.49	46.5
44.94	37.4
31.54	35.0
28.70	29.8
42.93	28.4
14.64	26.5
31.36	26.2
22.67	24.1

***

[2]
Computed powder diffractogram
Compound: NbVO4
Radiation: Cu Ka
Structure: a crystal structure in Alexandria, relaxed with PBE+U

Structure:
a = 5.690 Å, b = 4.770 Å, c = 5.677 Å
α = 90.00°, β = 114.48°, γ = 90.00°
Fractional positions:
Nb  0.000  0.000  0.000
Nb  0.000  0.500  0.500
V  0.500  0.000  0.500
V  0.500  0.500  0.000
O  0.146  0.203  0.340
O  0.146  0.297  0.840
O  0.341  0.697  0.643
O  0.341  0.803  0.143
O  0.659  0.197  0.857
O  0.659  0.303  0.357
O  0.854  0.703  0.160
O  0.854  0.797  0.660

Largest 10 diffraction maxima, by intensity, 5° ≤ 2θ ≤ 70°:
2theta	Rel. int.
26.40	100.0
34.70	63.1
52.10	31.2
52.19	31.0
54.34	17.5
66.15	15.1
37.68	14.1
17.12	13.1
66.86	12.5
25.41	10.0